This entry pairs a crystal structure of AcMg6Pb6 with its theoretical powder X-ray diffraction pattern. Radiation: Cu Kα (λ = 1.5418 Å). Structure: DFT lattice parameters and positions (PBE).
Peak positions follow from Bragg's law for the DFT cell and can differ from measured ones.

Structure:
```
data_AcMg6Pb6
_chemical_formula_sum 'Ac2 Mg12 Pb12'
_cell_length_a 6.2904
_cell_length_b 10.4612
_cell_length_c 10.8815
_cell_angle_alpha 90.00
_cell_angle_beta 90.00
_cell_angle_gamma 90.00
_symmetry_space_group_name_H-M 'I m m m'
_symmetry_Int_Tables_number 71
_symmetry_space_group_name_Hall '-I 2 2'
loop_
_atom_site_label
_atom_site_fract_x
_atom_site_fract_y
_atom_site_fract_z
_atom_site_occupancy
Ac1 0.0000 0.0000 0.0000 1
Mg1 0.0000 0.2578 0.5000 1
Mg2 0.2500 0.2500 0.2500 1
Pb1 0.0000 0.0000 0.3406 1
Pb2 0.0000 0.3409 0.0000 1
Pb3 0.0000 0.5000 0.3284 1
```

Top 8 peaks for 2θ = 15–90°, in order of rising 2θ:
2θ/deg, Rel. int., hkl
16.95, 29, 0 2 0
28.39, 100, 2 0 0
33.25, 58, 2 2 0
33.69, 21, 1 3 2
45.10, 16, 2 4 0
50.28, 21, 3 0 3
58.75, 18, 4 0 0
60.75, 28, 2 6 0